For ZrPa, a GGA-PBE-relaxed structure gives the calculated XRD peak list in this record (CuKα).
Kinematic intensities with the Lorentz-polarization factor, no thermal factor.

Atomic structure:
```
data_ZrPa
_chemical_formula_sum 'Zr4 Pa4'
_cell_length_a 3.1039
_cell_length_b 5.3296
_cell_length_c 11.5576
_cell_angle_alpha 90.00
_cell_angle_beta 90.00
_cell_angle_gamma 90.00
_symmetry_space_group_name_H-M 'P m m n'
_symmetry_Int_Tables_number 59
loop_
_symmetry_equiv_pos_as_xyz
'x,y,z'
'-x,-y,-z'
'-x+1/2,-y+1/2,z'
'x+1/2,y+1/2,-z'
'x+1/2,-y,-z'
'-x+1/2,y,z'
'-x,y+1/2,-z'
'x,-y+1/2,z'
loop_
_atom_site_label
_atom_site_fract_x
_atom_site_fract_y
_atom_site_fract_z
Zr1 0.2500 0.2500 0.0582
Zr2 0.2500 0.7500 0.1862
Pa1 0.2500 0.2500 0.5641
Pa2 0.2500 0.7500 0.6877
```

Most intense lines, 2θ = 10–90°, in order of falling intensity:
hkl  Position (°2θ)  I (rel.)
0 1 4  35.3  100
1 1 2  36.9  89
1 0 2  32.8  61
0 2 0  33.6  57
1 2 2  47.7  44
2 1 4  71.2  28

For AlAgTeSe, a GGA-PBE-relaxed structure gives the calculated XRD peak list in this record (CuKα).
Kinematic intensities with the Lorentz-polarization factor, no thermal factor.

Atomic structure:
```
data_AlAgTeSe
_chemical_formula_sum 'Al4 Ag4 Te4 Se4'
_cell_length_a 6.1921
_cell_length_b 6.3135
_cell_length_c 11.4785
_cell_angle_alpha 90.00
_cell_angle_beta 90.00
_cell_angle_gamma 90.00
_symmetry_space_group_name_H-M 'I 21 21 21'
_symmetry_Int_Tables_number 24
_symmetry_space_group_name_Hall 'I 2b 2c'
loop_
_atom_site_label
_atom_site_fract_x
_atom_site_fract_y
_atom_site_fract_z
Al1 0.0000 0.2500 0.1147
Ag1 0.0000 0.2500 0.6155
Te1 0.2296 0.0000 0.2500
Se1 0.2500 0.4625 0.0000
```

Most intense lines, 2θ = 10–90°, in order of falling intensity:
hkl  Position (°2θ)  I (rel.)
1 1 2  25.4  100
2 2 0  40.8  26
2 0 4  43.0  23
0 2 4  42.6  23
3 1 2  49.1  15
1 3 2  48.4  15

For Ta28Re, a GGA-PBE-relaxed structure gives the calculated XRD peak list in this record (CuKα).
Kinematic intensities with the Lorentz-polarization factor, no thermal factor.

Atomic structure:
```
data_Ta28Re
_chemical_formula_sum 'Ta56 Re2'
_cell_length_a 10.2444
_cell_length_b 10.2444
_cell_length_c 10.2444
_cell_angle_alpha 90.00
_cell_angle_beta 90.00
_cell_angle_gamma 90.00
_symmetry_space_group_name_H-M 'I -4 3 m'
_symmetry_Int_Tables_number 217
_symmetry_space_group_name_Hall 'I -4 2 3'
loop_
_atom_site_label
_atom_site_fract_x
_atom_site_fract_y
_atom_site_fract_z
Ta1 0.0378 0.3596 0.6404
Ta2 0.0915 0.0915 0.7221
Ta3 0.1868 0.1868 0.1868
Re1 0.0000 0.0000 0.0000
```

Most intense lines, 2θ = 10–90°, in order of falling intensity:
hkl  Position (°2θ)  I (rel.)
4 1 1  37.2  100
3 3 2  41.3  28
7 2 1  67.1  28
4 3 1  45.1  13
4 2 2  43.3  10
6 6 0  79.4  10

For Nd2ErAl3Si2Pd, a GGA-PBE-relaxed structure gives the calculated XRD peak list in this record (CuKα).
Kinematic intensities with the Lorentz-polarization factor, no thermal factor.

Atomic structure:
```
data_Nd2ErAl3Si2Pd
_chemical_formula_sum 'Nd4 Er2 Al6 Si4 Pd2'
_cell_length_a 4.3120
_cell_length_b 12.1469
_cell_length_c 7.0028
_cell_angle_alpha 90.00
_cell_angle_beta 90.00
_cell_angle_gamma 90.00
_symmetry_space_group_name_H-M 'A m m 2'
_symmetry_Int_Tables_number 38
_symmetry_space_group_name_Hall 'A 2 -2'
loop_
_atom_site_label
_atom_site_fract_x
_atom_site_fract_y
_atom_site_fract_z
Nd1 0.0000 0.2085 0.0000
Er1 0.0000 0.0000 0.6254
Al1 0.5000 0.0000 0.9714
Al2 0.5000 0.1165 0.3307
Si1 0.5000 0.1604 0.7070
Pd1 0.0000 0.0000 0.2200
```

Most intense lines, 2θ = 10–90°, in order of falling intensity:
hkl  Position (°2θ)  I (rel.)
1 4 0  36.2  100
1 3 1  32.9  73
1 0 0  20.6  56
0 4 0  29.4  51
1 5 3  58.9  33
0 6 0  44.8  31

For AcGe2Ir2, a GGA-PBE-relaxed structure gives the calculated XRD peak list in this record (CuKα).
Kinematic intensities with the Lorentz-polarization factor, no thermal factor.

Atomic structure:
```
data_AcGe2Ir2
_chemical_formula_sum 'Ac2 Ge4 Ir4'
_cell_length_a 4.4490
_cell_length_b 4.4490
_cell_length_c 10.2472
_cell_angle_alpha 90.00
_cell_angle_beta 90.00
_cell_angle_gamma 90.00
_symmetry_space_group_name_H-M 'I 4/m m m'
_symmetry_Int_Tables_number 139
_symmetry_space_group_name_Hall '-I 4 2'
loop_
_atom_site_label
_atom_site_fract_x
_atom_site_fract_y
_atom_site_fract_z
Ac1 0.0000 0.0000 0.0000
Ge1 0.0000 0.5000 0.2500
Ir1 0.0000 0.0000 0.3683
```

Most intense lines, 2θ = 10–90°, in order of falling intensity:
hkl  Position (°2θ)  I (rel.)
1 0 3  33.1  100
2 0 0  40.6  60
1 1 0  28.4  55
2 1 3  53.3  53
1 1 2  33.4  42
1 0 5  48.9  23

For Np2H2IBr3, a GGA-PBE-relaxed structure gives the calculated XRD peak list in this record (CuKα).
Kinematic intensities with the Lorentz-polarization factor, no thermal factor.

Atomic structure:
```
data_Np2H2IBr3
_chemical_formula_sum 'Np2 H2 I1 Br3'
_cell_length_a 3.9044
_cell_length_b 3.9044
_cell_length_c 14.9069
_cell_angle_alpha 90.00
_cell_angle_beta 90.00
_cell_angle_gamma 120.00
_symmetry_space_group_name_H-M 'P 3 m 1'
_symmetry_Int_Tables_number 156
_symmetry_space_group_name_Hall 'P 3 -2"'
loop_
_atom_site_label
_atom_site_fract_x
_atom_site_fract_y
_atom_site_fract_z
Np1 0.0000 0.0000 0.0000
Np2 0.0000 0.0000 0.4912
H1 0.3333 0.6667 0.4939
H2 0.6667 0.3333 0.9993
I1 0.6667 0.3333 0.6380
Br1 0.3333 0.6667 0.1309
Br2 0.3333 0.6667 0.8687
Br3 0.6667 0.3333 0.3600
```

Most intense lines, 2θ = 10–90°, in order of falling intensity:
hkl  Position (°2θ)  I (rel.)
1 0 2  29.0  100
0 1 4  35.9  98
0 0 2  11.9  93
1 1 0  46.5  41
0 1 3  32.0  25
1 0 1  27.0  24

For HoOs2, a GGA-PBE-relaxed structure gives the calculated XRD peak list in this record (CuKα).
Kinematic intensities with the Lorentz-polarization factor, no thermal factor.

Atomic structure:
```
data_HoOs2
_chemical_formula_sum 'Ho4 Os8'
_cell_length_a 5.3027
_cell_length_b 5.3027
_cell_length_c 8.8065
_cell_angle_alpha 90.00
_cell_angle_beta 90.00
_cell_angle_gamma 120.00
_symmetry_space_group_name_H-M 'P 63/m m c'
_symmetry_Int_Tables_number 194
_symmetry_space_group_name_Hall '-P 6c 2c'
loop_
_atom_site_label
_atom_site_fract_x
_atom_site_fract_y
_atom_site_fract_z
Ho1 0.3333 0.6667 0.0657
Os1 0.0000 0.0000 0.0000
Os2 0.1719 0.3439 0.7500
```

Most intense lines, 2θ = 10–90°, in order of falling intensity:
hkl  Position (°2θ)  I (rel.)
1 1 2  39.7  100
2 0 1  40.6  95
1 0 3  36.3  71
2 0 5  67.0  37
2 2 0  71.1  30
2 0 2  44.5  26

For Hf2Zr2Al3, a GGA-PBE-relaxed structure gives the calculated XRD peak list in this record (CuKα).
Kinematic intensities with the Lorentz-polarization factor, no thermal factor.

Atomic structure:
```
data_Hf2Zr2Al3
_chemical_formula_sum 'Hf2 Zr2 Al3'
_cell_length_a 5.4009
_cell_length_b 5.4009
_cell_length_c 5.3889
_cell_angle_alpha 90.00
_cell_angle_beta 90.00
_cell_angle_gamma 120.00
_symmetry_space_group_name_H-M 'P 6/m m m'
_symmetry_Int_Tables_number 191
_symmetry_space_group_name_Hall '-P 6 2'
loop_
_atom_site_label
_atom_site_fract_x
_atom_site_fract_y
_atom_site_fract_z
Hf1 0.3333 0.6667 0.0000
Zr1 0.0000 0.0000 0.2390
Al1 0.0000 0.5000 0.5000
```

Most intense lines, 2θ = 10–90°, in order of falling intensity:
hkl  Position (°2θ)  I (rel.)
1 1 0  33.2  100
1 1 1  37.2  80
1 0 2  38.6  73
0 0 1  16.4  50
2 1 2  62.9  33
3 0 1  62.0  32